This entry pairs a crystal structure of TbHo2ThBi5 with its theoretical powder X-ray diffraction pattern. Radiation: Cu Kα X-rays. Structure: DFT lattice parameters and positions (GGA-PBE).
Neutral-atom scattering factors, no anomalous dispersion.

```
data_TbHo2ThBi5
_chemical_formula_sum 'Tb1 Ho2 Th1 Bi5'
_symmetry_space_group_name_H-M 'P 1'
_symmetry_Int_Tables_number 1
_symmetry_space_group_name_Hall 'P 1'
_cell_length_a 5.719
_cell_length_b 5.719
_cell_length_c 11.949
_cell_angle_alpha 90.00
_cell_angle_beta 90.00
_cell_angle_gamma 90.00
loop_
_atom_site_label
_atom_site_fract_x
_atom_site_fract_y
_atom_site_fract_z
Tb1 0.000 0.000 0.000
Ho1 0.500 0.500 0.266
Ho2 0.500 0.500 0.734
Th1 0.000 0.000 0.500
Bi1 0.000 0.000 0.242
Bi2 0.000 0.000 0.758
Bi3 0.000 0.500 0.500
Bi4 0.500 0.000 0.500
Bi5 0.500 0.500 0.000
```

The 10 most intense peaks (2θ from 10° to 90°), low angle first:
2θ 21.98, I 66
2θ 23.22, I 40
2θ 26.62, I 31
2θ 29.91, I 54
2θ 31.28, I 100
2θ 37.43, I 32
2θ 43.83, I 78
2θ 44.82, I 38
2θ 54.82, I 41
2θ 81.95, I 27

This entry pairs a crystal structure of CsKSr2Cd with its theoretical powder X-ray diffraction pattern. Radiation: Cu Kα X-rays. Structure: DFT lattice parameters and positions (GGA-PBE).
Neutral-atom scattering factors, no anomalous dispersion.

```
data_CsKSr2Cd
_chemical_formula_sum 'Cs1 K1 Sr2 Cd1'
_symmetry_space_group_name_H-M 'P 1'
_symmetry_Int_Tables_number 1
_symmetry_space_group_name_Hall 'P 1'
_cell_length_a 6.575
_cell_length_b 6.575
_cell_length_c 7.206
_cell_angle_alpha 90.00
_cell_angle_beta 90.00
_cell_angle_gamma 90.00
loop_
_atom_site_label
_atom_site_fract_x
_atom_site_fract_y
_atom_site_fract_z
Cs1 0.000 0.000 0.000
K1 0.500 0.500 0.000
Sr1 0.000 0.500 0.500
Sr2 0.500 0.000 0.500
Cd1 0.500 0.500 0.500
```

The 10 most intense peaks (2θ from 10° to 90°), low angle first:
2θ 18.26, I 99
2θ 22.76, I 79
2θ 24.71, I 63
2θ 27.12, I 100
2θ 32.90, I 47
2θ 37.02, I 86
2θ 38.74, I 38
2θ 45.40, I 24
2θ 46.49, I 44
2θ 68.99, I 28

This entry pairs a crystal structure of CaAc12Pb7 with its theoretical powder X-ray diffraction pattern. Radiation: Cu Kα X-rays. Structure: DFT lattice parameters and positions (GGA-PBE).
Neutral-atom scattering factors, no anomalous dispersion.

```
data_CaAc12Pb7
_chemical_formula_sum 'Ca1 Ac12 Pb7'
_symmetry_space_group_name_H-M 'P 1'
_symmetry_Int_Tables_number 1
_symmetry_space_group_name_Hall 'P 1'
_cell_length_a 10.400
_cell_length_b 10.400
_cell_length_c 10.400
_cell_angle_alpha 110.90
_cell_angle_beta 110.90
_cell_angle_gamma 110.90
loop_
_atom_site_label
_atom_site_fract_x
_atom_site_fract_y
_atom_site_fract_z
Ca1 0.000 0.000 0.000
Ac1 0.000 0.271 0.729
Ac2 0.000 0.729 0.271
Ac3 0.164 0.483 0.483
Ac4 0.271 0.000 0.729
Ac5 0.271 0.729 0.000
Ac6 0.483 0.164 0.483
Ac7 0.483 0.483 0.164
Ac8 0.517 0.517 0.836
Ac9 0.517 0.836 0.517
Ac10 0.729 0.000 0.271
Ac11 0.729 0.271 0.000
Ac12 0.836 0.517 0.517
Pb1 0.136 0.136 0.459
Pb2 0.136 0.459 0.136
Pb3 0.459 0.136 0.136
Pb4 0.500 0.500 0.500
Pb5 0.541 0.864 0.864
Pb6 0.864 0.541 0.864
Pb7 0.864 0.864 0.541
```

The 10 most intense peaks (2θ from 10° to 90°), low angle first:
2θ 15.07, I 23
2θ 25.73, I 44
2θ 27.78, I 53
2θ 28.52, I 100
2θ 31.33, I 87
2θ 32.19, I 23
2θ 33.25, I 89
2θ 46.32, I 31
2θ 46.82, I 36
2θ 56.99, I 38

This entry pairs a crystal structure of La3PrMg with its theoretical powder X-ray diffraction pattern. Radiation: Cu Kα X-rays. Structure: DFT lattice parameters and positions (GGA-PBE).
Neutral-atom scattering factors, no anomalous dispersion.

```
data_La3PrMg
_chemical_formula_sum 'La6 Pr2 Mg2'
_symmetry_space_group_name_H-M 'P 1'
_symmetry_Int_Tables_number 1
_symmetry_space_group_name_Hall 'P 1'
_cell_length_a 3.843
_cell_length_b 9.211
_cell_length_c 10.252
_cell_angle_alpha 76.43
_cell_angle_beta 79.20
_cell_angle_gamma 89.99
loop_
_atom_site_label
_atom_site_fract_x
_atom_site_fract_y
_atom_site_fract_z
La1 0.004 0.273 0.493
La2 0.187 0.374 0.124
La3 0.203 0.830 0.095
La4 0.797 0.170 0.905
La5 0.813 0.626 0.876
La6 0.996 0.727 0.507
Pr1 0.403 0.960 0.697
Pr2 0.597 0.040 0.303
Mg1 0.403 0.437 0.695
Mg2 0.597 0.563 0.305
```

The 10 most intense peaks (2θ from 10° to 90°), low angle first:
2θ 29.81, I 47
2θ 30.13, I 52
2θ 30.29, I 100
2θ 32.67, I 85
2θ 39.12, I 21
2θ 47.31, I 16
2θ 51.64, I 18
2θ 52.06, I 19
2θ 56.64, I 16
2θ 56.93, I 15

This entry pairs a crystal structure of Ti2CrIr2 with its theoretical powder X-ray diffraction pattern. Radiation: Cu Kα X-rays. Structure: DFT lattice parameters and positions (GGA-PBE).
Neutral-atom scattering factors, no anomalous dispersion.

```
data_Ti2CrIr2
_chemical_formula_sum 'Ti4 Cr2 Ir4'
_symmetry_space_group_name_H-M 'P 1'
_symmetry_Int_Tables_number 1
_symmetry_space_group_name_Hall 'P 1'
_cell_length_a 7.290
_cell_length_b 7.290
_cell_length_c 2.914
_cell_angle_alpha 90.00
_cell_angle_beta 90.00
_cell_angle_gamma 90.00
loop_
_atom_site_label
_atom_site_fract_x
_atom_site_fract_y
_atom_site_fract_z
Ti1 0.163 0.337 0.000
Ti2 0.337 0.837 0.000
Ti3 0.663 0.163 0.000
Ti4 0.837 0.663 0.000
Cr1 0.000 0.000 0.500
Cr2 0.500 0.500 0.500
Ir1 0.137 0.637 0.500
Ir2 0.363 0.137 0.500
Ir3 0.637 0.863 0.500
Ir4 0.863 0.363 0.500
```

The 10 most intense peaks (2θ from 10° to 90°), low angle first:
2θ 17.20, I 31
2θ 27.36, I 53
2θ 30.68, I 25
2θ 39.07, I 46
2θ 41.56, I 100
2θ 44.83, I 12
2θ 50.05, I 15
2θ 50.48, I 21
2θ 55.30, I 14
2θ 77.79, I 22

This entry pairs a crystal structure of K2MgCd with its theoretical powder X-ray diffraction pattern. Radiation: Cu Kα X-rays. Structure: DFT lattice parameters and positions (GGA-PBE).
Neutral-atom scattering factors, no anomalous dispersion.

```
data_K2MgCd
_chemical_formula_sum 'K2 Mg1 Cd1'
_symmetry_space_group_name_H-M 'P 1'
_symmetry_Int_Tables_number 1
_symmetry_space_group_name_Hall 'P 1'
_cell_length_a 5.901
_cell_length_b 5.901
_cell_length_c 5.901
_cell_angle_alpha 118.86
_cell_angle_beta 118.86
_cell_angle_gamma 91.98
loop_
_atom_site_label
_atom_site_fract_x
_atom_site_fract_y
_atom_site_fract_z
K1 0.000 0.000 0.000
K2 0.750 0.250 0.500
Mg1 0.250 0.750 0.500
Cd1 0.500 0.500 0.000
```

The 10 most intense peaks (2θ from 10° to 90°), low angle first:
2θ 18.32, I 38
2θ 20.93, I 20
2θ 29.77, I 53
2θ 30.31, I 100
2θ 35.18, I 15
2θ 37.13, I 9
2θ 42.60, I 19
2θ 53.18, I 37
2θ 54.19, I 17
2θ 63.05, I 11

This entry pairs a crystal structure of Al2GaW with its theoretical powder X-ray diffraction pattern. Radiation: Cu Kα X-rays. Structure: DFT lattice parameters and positions (GGA-PBE).
Neutral-atom scattering factors, no anomalous dispersion.

```
data_Al2GaW
_chemical_formula_sum 'Al2 Ga1 W1'
_symmetry_space_group_name_H-M 'P 1'
_symmetry_Int_Tables_number 1
_symmetry_space_group_name_Hall 'P 1'
_cell_length_a 9.074
_cell_length_b 9.074
_cell_length_c 9.074
_cell_angle_alpha 18.42
_cell_angle_beta 18.42
_cell_angle_gamma 18.42
loop_
_atom_site_label
_atom_site_fract_x
_atom_site_fract_y
_atom_site_fract_z
Al1 0.000 0.000 0.000
Al2 0.172 0.172 0.172
Ga1 0.752 0.752 0.752
W1 0.586 0.586 0.586
```

The 10 most intense peaks (2θ from 10° to 90°), low angle first:
2θ 19.91, I 100
2θ 35.85, I 59
2θ 36.33, I 56
2θ 38.22, I 25
2θ 39.58, I 100
2θ 40.46, I 40
2θ 43.04, I 77
2θ 49.75, I 25
2θ 64.11, I 31
2θ 78.61, I 34

This entry pairs a crystal structure of LaTb3Dy6Er2 with its theoretical powder X-ray diffraction pattern. Radiation: Cu Kα X-rays. Structure: DFT lattice parameters and positions (GGA-PBE).
Neutral-atom scattering factors, no anomalous dispersion.

```
data_LaTb3Dy6Er2
_chemical_formula_sum 'La1 Tb3 Dy6 Er2'
_symmetry_space_group_name_H-M 'P 1'
_symmetry_Int_Tables_number 1
_symmetry_space_group_name_Hall 'P 1'
_cell_length_a 6.162
_cell_length_b 6.162
_cell_length_c 11.810
_cell_angle_alpha 94.98
_cell_angle_beta 94.98
_cell_angle_gamma 119.97
loop_
_atom_site_label
_atom_site_fract_x
_atom_site_fract_y
_atom_site_fract_z
La1 0.000 0.000 0.000
Tb1 0.167 0.833 0.500
Tb2 0.500 0.500 0.500
Tb3 0.833 0.167 0.500
Dy1 0.084 0.419 0.251
Dy2 0.251 0.251 0.748
Dy3 0.419 0.084 0.251
Dy4 0.581 0.916 0.749
Dy5 0.749 0.749 0.252
Dy6 0.916 0.581 0.749
Er1 0.333 0.667 0.000
Er2 0.667 0.333 0.000
```

The 10 most intense peaks (2θ from 10° to 90°), low angle first:
2θ 30.77, I 100
2θ 35.68, I 51
2θ 51.34, I 36
2θ 61.01, I 4
2θ 61.06, I 39
2θ 64.09, I 12
2θ 75.56, I 6
2θ 83.76, I 15
2θ 83.82, I 3
2θ 86.46, I 14

Question: Which formula does entry 3 have?
Answer: CaAc12Pb7

Please write out number 5 again, unchanged.
This entry pairs a crystal structure of Ti2CrIr2 with its theoretical powder X-ray diffraction pattern. Radiation: Cu Kα X-rays. Structure: DFT lattice parameters and positions (GGA-PBE).
Neutral-atom scattering factors, no anomalous dispersion.

```
data_Ti2CrIr2
_chemical_formula_sum 'Ti4 Cr2 Ir4'
_symmetry_space_group_name_H-M 'P 1'
_symmetry_Int_Tables_number 1
_symmetry_space_group_name_Hall 'P 1'
_cell_length_a 7.290
_cell_length_b 7.290
_cell_length_c 2.914
_cell_angle_alpha 90.00
_cell_angle_beta 90.00
_cell_angle_gamma 90.00
loop_
_atom_site_label
_atom_site_fract_x
_atom_site_fract_y
_atom_site_fract_z
Ti1 0.163 0.337 0.000
Ti2 0.337 0.837 0.000
Ti3 0.663 0.163 0.000
Ti4 0.837 0.663 0.000
Cr1 0.000 0.000 0.500
Cr2 0.500 0.500 0.500
Ir1 0.137 0.637 0.500
Ir2 0.363 0.137 0.500
Ir3 0.637 0.863 0.500
Ir4 0.863 0.363 0.500
```

The 10 most intense peaks (2θ from 10° to 90°), low angle first:
2θ 17.20, I 31
2θ 27.36, I 53
2θ 30.68, I 25
2θ 39.07, I 46
2θ 41.56, I 100
2θ 44.83, I 12
2θ 50.05, I 15
2θ 50.48, I 21
2θ 55.30, I 14
2θ 77.79, I 22